# Sm3Dy4HoS8
Theoretical powder XRD pattern, Cu Kα, 1.54184 Å. Input: DFT lattice parameters and positions (PBE).
Intensities are scaled so that the largest is 100.

```
data_Sm3Dy4HoS8
_chemical_formula_sum 'Sm9 Dy12 Ho3 S24'
_symmetry_space_group_name_H-M 'R -3 m'
_symmetry_Int_Tables_number 166
_symmetry_space_group_name_Hall '-R 3 2"'
_cell_length_a 7.8768
_cell_length_b 7.8768
_cell_length_c 19.3647
_cell_angle_alpha 90.00
_cell_angle_beta 90.00
_cell_angle_gamma 120.00
loop_
_atom_site_label
_atom_site_type_symbol
_atom_site_fract_x
_atom_site_fract_y
_atom_site_fract_z
Sm1 Sm 0.0000 0.5000 0.0000
Dy1 Dy 0.0000 0.0000 0.5000
Dy2 Dy 0.0000 0.5000 0.5000
Ho1 Ho 0.0000 0.0000 0.0000
S1 S 0.0000 0.0000 0.2465
S2 S 0.0056 0.5028 0.7521
```

Largest 10 diffraction maxima, sorted by position, 10 to 90 degrees two-theta:
2theta	d_spacing	intensity
27.71	3.220	81
32.10	2.788	100
45.98	1.974	36
46.09	1.969	36
54.61	1.681	30
57.28	1.608	19
67.14	1.394	12
76.29	1.248	16
76.46	1.246	16
85.33	1.138	18



# NiHgW4
Theoretical powder XRD pattern, Cu Kα, 1.54184 Å. Input: DFT lattice parameters and positions (PBE).
Intensities are scaled so that the largest is 100.

```
data_NiHgW4
_chemical_formula_sum 'Ni4 Hg4 W16'
_symmetry_space_group_name_H-M 'F -4 3 m'
_symmetry_Int_Tables_number 216
_symmetry_space_group_name_Hall 'F -4 2 3'
_cell_length_a 7.4796
_cell_length_b 7.4796
_cell_length_c 7.4796
_cell_angle_alpha 90.00
_cell_angle_beta 90.00
_cell_angle_gamma 90.00
loop_
_atom_site_label
_atom_site_type_symbol
_atom_site_fract_x
_atom_site_fract_y
_atom_site_fract_z
Ni1 Ni 0.0000 0.0000 0.0000
Hg1 Hg 0.2500 0.2500 0.7500
W1 W 0.1252 0.1252 0.3748
```

Largest 10 diffraction maxima, sorted by position, 10 to 90 degrees two-theta:
2theta	d_spacing	intensity
20.57	4.318	23
33.90	2.644	18
39.98	2.255	100
41.84	2.159	51
48.70	1.870	10
60.65	1.527	7
64.76	1.439	33
71.33	1.322	29
85.04	1.141	12
86.26	1.128	20